Diffraction record for VIr4Os2. The powder XRD pattern is simulated, not measured: it uses a crystal structure in Alexandria, relaxed with GGA-PBE and Cu Kα, 1.54184 Å.
Kinematic intensities with the Lorentz-polarization factor, no thermal factor.

Peak list (10 most intense, 10 to 90 degrees two-theta, by intensity)
2θ (°)  I/Imax
42.16  100.0
42.96  38.8
78.26  14.0
65.63  12.9
85.88  12.8
47.09  12.7
28.91  12.5
39.11  9.9
20.70  8.4
41.13  8.4

Cell and atoms:
a b c (Å): 10.6344 4.6911 10.9946
angles (deg): 73.21 24.98 81.81
Positions (direct):
V 0.0000 0.0000 0.0000
V 0.2500 0.2500 0.2500
Ir 0.0209 0.9874 0.2935
Ir 0.0772 0.4609 0.7389
Ir 0.4609 0.0772 0.7230
Ir 0.5111 0.5270 0.1728
Ir 0.5270 0.5111 0.7891
Ir 0.5518 0.9565 0.2626
Ir 0.9565 0.5518 0.2291
Ir 0.9874 0.0209 0.6982
Os 0.3901 0.6437 0.6598
Os 0.5902 0.9435 0.8599
Os 0.6437 0.3901 0.3065
Os 0.9435 0.5902 0.6063

=====

Diffraction record for V2IrOs4. The powder XRD pattern is simulated, not measured: it uses a crystal structure in Alexandria, relaxed with GGA-PBE and Cu Kα, 1.54184 Å.
Kinematic intensities with the Lorentz-polarization factor, no thermal factor.

Peak list (10 most intense, 10 to 90 degrees two-theta, by intensity)
2θ (°)  I/Imax
42.36  100.0
39.79  62.7
20.71  32.8
29.77  30.3
79.45  24.7
45.27  20.8
68.18  14.4
89.90  12.6
87.24  12.4
71.02  11.1

Cell and atoms:
a b c (Å): 6.6382 6.6382 6.6382
angles (deg): 114.69 114.69 99.48
Positions (direct):
V 0.1527 0.6527 0.8054
V 0.3473 0.1527 0.5000
V 0.6527 0.8473 0.5000
V 0.8473 0.3473 0.1946
Ir 0.2500 0.2500 0.0000
Ir 0.7500 0.7500 0.0000
Os 0.0150 0.8091 0.5000
Os 0.1909 0.6909 0.2059
Os 0.3091 0.5150 0.5000
Os 0.4850 0.9850 0.7941
Os 0.5150 0.0150 0.2059
Os 0.6909 0.4850 0.5000
Os 0.8091 0.3091 0.7941
Os 0.9850 0.1909 0.5000

=====

Diffraction record for V3IrOs2. The powder XRD pattern is simulated, not measured: it uses a crystal structure in Alexandria, relaxed with GGA-PBE and Cu Kα, 1.54184 Å.
Kinematic intensities with the Lorentz-polarization factor, no thermal factor.

Peak list (10 most intense, 10 to 90 degrees two-theta, by intensity)
2θ (°)  I/Imax
41.16  100.0
31.34  34.5
26.00  27.4
44.79  19.6
45.04  19.3
80.08  14.1
80.43  14.0
65.40  12.5
53.47  11.6
89.34  11.1

Cell and atoms:
a b c (Å): 6.3955 6.3955 6.8546
angles (deg): 90.00 90.00 143.31
Positions (direct):
V 0.0000 0.0000 0.2485
V 0.0000 0.0000 0.7515
V 0.3338 0.6662 0.2444
V 0.3338 0.6662 0.7556
V 0.6662 0.3338 0.2444
V 0.6662 0.3338 0.7556
Ir 0.1693 0.8307 0.5000
Ir 0.8307 0.1693 0.5000
Os 0.1662 0.8338 0.0000
Os 0.5000 0.5000 0.0000
Os 0.5000 0.5000 0.5000
Os 0.8338 0.1662 0.0000

=====

Diffraction record for IrOsW. The powder XRD pattern is simulated, not measured: it uses a crystal structure in Alexandria, relaxed with GGA-PBE and Cu Kα, 1.54184 Å.
Kinematic intensities with the Lorentz-polarization factor, no thermal factor.

Peak list (5 most intense, 10 to 90 degrees two-theta, by intensity)
2θ (°)  I/Imax
39.91  100.0
46.42  49.1
81.61  38.9
67.74  32.1
86.09  11.6

Cell and atoms:
a b c (Å): 2.7671 2.7671 11.7335
angles (deg): 90.00 90.00 90.00
Positions (direct):
Ir 0.0000 0.0000 0.0000
Ir 0.5000 0.5000 0.5000
Os 0.0000 0.0000 0.3338
Os 0.5000 0.5000 0.8338
W 0.0000 0.0000 0.6688
W 0.5000 0.5000 0.1688

=====

Diffraction record for IrOs6W4. The powder XRD pattern is simulated, not measured: it uses a crystal structure in Alexandria, relaxed with GGA-PBE and Cu Kα, 1.54184 Å.
Kinematic intensities with the Lorentz-polarization factor, no thermal factor.

Peak list (10 most intense, 10 to 90 degrees two-theta, by intensity)
2θ (°)  I/Imax
40.03  100.0
40.50  63.3
43.24  54.9
40.86  52.5
42.95  44.0
48.71  41.7
37.91  29.6
66.69  18.9
77.17  18.8
82.39  15.9

Cell and atoms:
a b c (Å): 4.7130 4.7130 8.8577
angles (deg): 92.21 92.21 116.56
Positions (direct):
Ir 0.0000 0.0000 0.0000
Os 0.2574 0.7426 0.5000
Os 0.2653 0.2653 0.6856
Os 0.3359 0.6641 0.0000
Os 0.6641 0.3359 0.0000
Os 0.7347 0.7347 0.3144
Os 0.7426 0.2574 0.5000
W 0.0337 0.3726 0.2433
W 0.3726 0.0337 0.2433
W 0.6274 0.9663 0.7567
W 0.9663 0.6274 0.7567

=====

Diffraction record for Ir6OsW. The powder XRD pattern is simulated, not measured: it uses a crystal structure in Alexandria, relaxed with GGA-PBE and Cu Kα, 1.54184 Å.
Kinematic intensities with the Lorentz-polarization factor, no thermal factor.

Peak list (7 most intense, 10 to 90 degrees two-theta, by intensity)
2θ (°)  I/Imax
40.23  100.0
46.76  32.7
68.33  32.0
82.32  26.1
46.87  16.3
82.49  13.0
86.91  11.6

Cell and atoms:
a b c (Å): 5.4953 5.4953 3.8766
angles (deg): 90.00 90.00 90.00
Positions (direct):
Ir 0.0000 0.5000 0.0000
Ir 0.2498 0.2498 0.5000
Ir 0.2498 0.7502 0.5000
Ir 0.5000 0.0000 0.0000
Ir 0.7502 0.2498 0.5000
Ir 0.7502 0.7502 0.5000
Os 0.0000 0.0000 0.0000
W 0.5000 0.5000 0.0000